Record 1
The following is a calculated XRD peak list of Mg6CrNiO8. It was derived from a DFT-relaxed cell (GGA+U, the Materials Project), using copper Kα.

Largest 10 diffraction maxima, sorted by position, 10 to 90 degrees two-theta:
- 20.60 deg, d = 4.312 Å, intensity 19, (1 0 0)
- 21.04 deg, d = 4.222 Å, intensity 9, (0 0 2)
- 29.61 deg, d = 3.017 Å, intensity 15, (1 0 2)
- 36.34 deg, d = 2.472 Å, intensity 38, (1 1 2)
- 41.90 deg, d = 2.156 Å, intensity 100, (2 0 0)
- 42.84 deg, d = 2.111 Å, intensity 47, (0 0 4)
- 60.75 deg, d = 1.525 Å, intensity 28, (2 2 0)
- 61.47 deg, d = 1.508 Å, intensity 54, (2 0 4)
- 72.89 deg, d = 1.298 Å, intensity 13, (3 1 2)
- 77.18 deg, d = 1.236 Å, intensity 25, (2 2 4)

Crystal structure
a = 4.312 Å, b = 4.312 Å, c = 8.444 Å
α = 90.00°, β = 90.00°, γ = 90.00°
Space group P4/mmm (No. 123)
One atom of each set of equivalent atoms:
Mg1 0.000 0.000 0.000 x1
Mg2 0.000 0.000 0.500 x1
Mg3 0.000 0.500 0.248 x4
Cr1 0.500 0.500 0.500 x1
Ni1 0.500 0.500 0.000 x1
O1 0.000 0.000 0.250 x2
O2 0.000 0.500 0.000 x2
O3 0.000 0.500 0.500 x2
O4 0.500 0.500 0.253 x2



Record 2
The following is a calculated XRD peak list of MgTiZn2WO6. It was derived from a DFT-relaxed cell (GGA+U, the Materials Project), using copper Kα.

Largest 10 diffraction maxima, sorted by position, 10 to 90 degrees two-theta:
- 17.31 deg, d = 5.124 Å, intensity 53, (0 0 1)
- 20.15 deg, d = 4.407 Å, intensity 35, (0 1 0)
- 22.49 deg, d = 3.954 Å, intensity 39, (0 1 -1)
- 30.31 deg, d = 2.949 Å, intensity 58, (1 -1 1)
- 33.60 deg, d = 2.667 Å, intensity 53, (1 1 -1)
- 33.96 deg, d = 2.640 Å, intensity 100, (1 -2 0)
- 34.99 deg, d = 2.565 Å, intensity 37, (1 0 1)
- 49.42 deg, d = 1.844 Å, intensity 33, (0 2 1)
- 49.65 deg, d = 1.836 Å, intensity 36, (2 0 -3)
- 60.31 deg, d = 1.535 Å, intensity 34, (0 3 -1)

Crystal structure
a = 5.280 Å, b = 5.280 Å, c = 5.954 Å
α = 90.48°, β = 116.10°, γ = 119.32°
Space group P1 (No. 1)
One atom of each set of equivalent atoms:
Mg1 0.000 0.000 0.000 x1
Ti1 0.297 0.641 0.946 x1
Zn1 0.670 0.831 0.493 x1
Zn2 0.824 0.413 0.232 x1
W1 0.361 0.178 0.546 x1
O1 0.149 0.903 0.760 x1
O2 0.205 0.785 0.251 x1
O3 0.462 0.408 0.253 x1
O4 0.514 0.602 0.776 x1
O5 0.838 0.052 0.251 x1
O6 0.851 0.251 0.773 x1



Record 3
The following is a calculated XRD peak list of Mg2Fe3O8. It was derived from a DFT-relaxed cell (GGA+U, the Materials Project), using copper Kα.

Largest 10 diffraction maxima, sorted by position, 10 to 90 degrees two-theta:
- 18.40 deg, d = 4.821 Å, intensity 100, (2 0 0)
- 21.43 deg, d = 4.146 Å, intensity 25, (2 0 -1)
- 28.73 deg, d = 3.108 Å, intensity 35, (1 1 1)
- 31.73 deg, d = 2.820 Å, intensity 26, (3 1 -1)
- 37.86 deg, d = 2.376 Å, intensity 57, (2 2 -1)
- 39.10 deg, d = 2.304 Å, intensity 27, (0 0 2)
- 47.62 deg, d = 1.910 Å, intensity 52, (4 2 -1)
- 49.53 deg, d = 1.840 Å, intensity 25, (2 0 2)
- 58.52 deg, d = 1.577 Å, intensity 28, (4 2 1)
- 65.32 deg, d = 1.429 Å, intensity 24, (2 2 -3)

Crystal structure
a = 10.313 Å, b = 5.801 Å, c = 4.928 Å
α = 90.00°, β = 110.77°, γ = 90.00°
Space group C2/m (No. 12)
One atom of each set of equivalent atoms:
Mg1 0.223 0.000 0.160 x4
Fe1 0.000 0.242 0.500 x4
Fe2 0.000 0.500 0.000 x2
O1 0.106 0.000 0.434 x4
O2 0.108 0.500 0.426 x4
O3 0.115 0.270 0.896 x8



Record 4
The following is a calculated XRD peak list of VCrO3. It was derived from a DFT-relaxed cell (GGA+U, the Materials Project), using copper Kα.

Largest 10 diffraction maxima, sorted by position, 10 to 90 degrees two-theta:
- 23.83 deg, d = 3.734 Å, intensity 56, (0 1 2)
- 32.72 deg, d = 2.737 Å, intensity 100, (1 2 1)
- 35.11 deg, d = 2.556 Å, intensity 57, (1 1 3)
- 35.21 deg, d = 2.549 Å, intensity 28, (2 1 0)
- 40.28 deg, d = 2.239 Å, intensity 20, (1 2 3)
- 48.75 deg, d = 1.868 Å, intensity 28, (2 0 2)
- 53.31 deg, d = 1.719 Å, intensity 67, (2 -1 0)
- 61.46 deg, d = 1.509 Å, intensity 17, (1 1 -5)
- 61.60 deg, d = 1.506 Å, intensity 17, (3 3 1)
- 70.90 deg, d = 1.329 Å, intensity 16, (0 3 -2)

Crystal structure
a = 5.097 Å, b = 5.500 Å, c = 8.862 Å
α = 74.42°, β = 89.94°, γ = 62.40°
Space group P1 (No. 1)
One atom of each set of equivalent atoms:
V1 0.000 0.000 0.000 x1
V2 0.198 0.602 0.400 x1
V3 0.446 0.105 0.147 x1
V4 0.697 0.606 0.896 x1
Cr1 0.246 0.504 0.746 x1
Cr2 0.496 0.004 0.497 x1
Cr3 0.747 0.503 0.250 x1
Cr4 0.949 0.099 0.649 x1
O1 0.001 0.300 0.797 x1
O2 0.045 0.300 0.449 x1
O3 0.397 0.804 0.695 x1
O4 0.446 0.802 0.350 x1
O5 0.447 0.798 0.048 x1
O6 0.499 0.301 0.599 x1
O7 0.502 0.300 0.296 x1
O8 0.544 0.305 0.945 x1
O9 0.901 0.800 0.199 x1
O10 0.944 0.804 0.547 x1
O11 0.947 0.803 0.849 x1
O12 0.999 0.305 0.101 x1



Record 5
The following is a calculated XRD peak list of Fe4O5F3. It was derived from a DFT-relaxed cell (GGA+U, the Materials Project), using copper Kα.

Largest 10 diffraction maxima, sorted by position, 10 to 90 degrees two-theta:
- 26.43 deg, d = 3.372 Å, intensity 100, (-1 1 1)
- 27.24 deg, d = 3.274 Å, intensity 98, (1 1 1)
- 35.05 deg, d = 2.560 Å, intensity 79, (0 1 -3)
- 35.14 deg, d = 2.554 Å, intensity 26, (1 -2 2)
- 38.32 deg, d = 2.349 Å, intensity 16, (0 2 2)
- 52.37 deg, d = 1.747 Å, intensity 30, (1 0 -4)
- 52.54 deg, d = 1.742 Å, intensity 28, (2 -3 1)
- 53.34 deg, d = 1.717 Å, intensity 40, (1 0 4)
- 60.72 deg, d = 1.525 Å, intensity 18, (0 4 -4)
- 67.15 deg, d = 1.394 Å, intensity 28, (0 1 5)

Crystal structure
a = 4.699 Å, b = 7.699 Å, c = 7.706 Å
α = 104.76°, β = 91.21°, γ = 90.86°
Space group P1 (No. 1)
One atom of each set of equivalent atoms:
Fe1 0.000 0.000 0.000 x1
Fe2 0.000 0.498 0.500 x1
Fe3 0.455 0.872 0.622 x1
Fe4 0.488 0.641 0.887 x1
Fe5 0.516 0.356 0.111 x1
Fe6 0.552 0.122 0.374 x1
Fe7 0.944 0.744 0.262 x1
Fe8 0.989 0.286 0.770 x1
O1 0.175 0.712 0.475 x1
O2 0.185 0.222 0.971 x1
O3 0.196 0.489 0.720 x1
O4 0.297 0.855 0.853 x1
O5 0.674 0.900 0.415 x1
O6 0.679 0.422 0.908 x1
O7 0.701 0.143 0.147 x1
O8 0.794 0.513 0.287 x1
O9 0.797 0.785 0.033 x1
O10 0.814 0.289 0.533 x1
F1 0.191 0.974 0.236 x1
F2 0.288 0.601 0.108 x1
F3 0.295 0.106 0.599 x1
F4 0.306 0.334 0.344 x1
F5 0.690 0.664 0.659 x1
F6 0.788 0.035 0.772 x1



Record 6
The following is a calculated XRD peak list of TiV3O8. It was derived from a DFT-relaxed cell (GGA+U, the Materials Project), using copper Kα.

Largest 10 diffraction maxima, sorted by position, 10 to 90 degrees two-theta:
- 14.19 deg, d = 6.243 Å, intensity 45, (0 1 1)
- 15.03 deg, d = 5.893 Å, intensity 34, (0 1 -1)
- 24.66 deg, d = 3.610 Å, intensity 100, (1 1 0)
- 28.60 deg, d = 3.122 Å, intensity 54, (0 2 2)
- 29.59 deg, d = 3.019 Å, intensity 45, (0 1 -3)
- 33.10 deg, d = 2.707 Å, intensity 21, (1 1 -2)
- 43.49 deg, d = 2.081 Å, intensity 29, (0 3 3)
- 44.17 deg, d = 2.050 Å, intensity 30, (0 2 -4)
- 47.98 deg, d = 1.896 Å, intensity 35, (2 1 1)
- 57.81 deg, d = 1.595 Å, intensity 26, (1 3 -4)

Crystal structure
a = 3.792 Å, b = 7.801 Å, c = 10.346 Å
α = 84.16°, β = 79.46°, γ = 75.94°
Space group P1 (No. 1)
One atom of each set of equivalent atoms:
Ti1 0.000 0.000 0.000 x1
Ti2 0.493 0.499 0.500 x1
V1 0.276 0.329 0.114 x1
V2 0.284 0.617 0.802 x1
V3 0.529 0.218 0.805 x1
V4 0.774 0.828 0.614 x1
V5 0.789 0.117 0.302 x1
V6 0.941 0.719 0.305 x1
O1 0.136 0.805 0.915 x1
O2 0.144 0.530 0.180 x1
O3 0.285 0.160 0.264 x1
O4 0.311 0.750 0.618 x1
O5 0.326 0.424 0.918 x1
O6 0.450 0.406 0.674 x1
O7 0.467 0.079 0.984 x1
O8 0.488 0.684 0.330 x1
O9 0.637 0.305 0.415 x1
O10 0.638 0.028 0.682 x1
O11 0.783 0.659 0.764 x1
O12 0.813 0.250 0.118 x1
O13 0.825 0.925 0.419 x1
O14 0.957 0.907 0.174 x1
O15 0.963 0.578 0.485 x1
O16 0.991 0.184 0.830 x1



Record 7
The following is a calculated XRD peak list of LiMnF4. It was derived from a DFT-relaxed cell (GGA+U, the Materials Project), using copper Kα.

Largest 10 diffraction maxima, sorted by position, 10 to 90 degrees two-theta:
- 15.97 deg, d = 5.548 Å, intensity 100, (1 1 1)
- 20.28 deg, d = 4.380 Å, intensity 83, (2 0 0)
- 20.95 deg, d = 4.240 Å, intensity 93, (1 1 2)
- 27.38 deg, d = 3.258 Å, intensity 31, (1 1 3)
- 30.50 deg, d = 2.931 Å, intensity 47, (0 2 3)
- 34.53 deg, d = 2.597 Å, intensity 33, (1 1 4)
- 41.22 deg, d = 2.190 Å, intensity 42, (4 0 0)
- 42.18 deg, d = 2.143 Å, intensity 29, (1 1 5)
- 47.95 deg, d = 1.897 Å, intensity 28, (0 0 6)
- 56.41 deg, d = 1.631 Å, intensity 30, (1 5 3)

Crystal structure
a = 8.759 Å, b = 9.232 Å, c = 11.383 Å
α = 90.00°, β = 90.00°, γ = 90.00°
Space group Cmcm (No. 63)
One atom of each set of equivalent atoms:
Li1 0.000 0.174 0.250 x4
Li2 0.171 0.500 0.000 x8
Mn1 0.000 0.147 0.572 x8
Mn2 0.000 0.427 0.750 x4
F1 0.000 0.077 0.098 x8
F2 0.000 0.204 0.750 x4
F3 0.000 0.370 0.250 x4
F4 0.000 0.373 0.560 x8
F5 0.207 0.141 0.573 x16
F6 0.208 0.421 0.750 x8



Record 8
The following is a calculated XRD peak list of LiFe2SiO4. It was derived from a DFT-relaxed cell (GGA+U, the Materials Project), using copper Kα.

Largest 10 diffraction maxima, sorted by position, 10 to 90 degrees two-theta:
- 15.44 deg, d = 5.739 Å, intensity 32, (0 1 0)
- 20.92 deg, d = 4.247 Å, intensity 28, (1 1 0)
- 23.33 deg, d = 3.812 Å, intensity 41, (0 1 1)
- 32.37 deg, d = 2.766 Å, intensity 100, (2 1 0)
- 35.19 deg, d = 2.550 Å, intensity 87, (0 0 2)
- 35.91 deg, d = 2.501 Å, intensity 55, (0 2 1)
- 36.97 deg, d = 2.431 Å, intensity 48, (2 1 1)
- 46.32 deg, d = 1.960 Å, intensity 40, (2 2 1)
- 48.56 deg, d = 1.875 Å, intensity 41, (2 1 2)
- 56.23 deg, d = 1.636 Å, intensity 35, (2 3 0)

Crystal structure
a = 6.314 Å, b = 5.739 Å, c = 5.101 Å
α = 90.00°, β = 90.00°, γ = 90.00°
Space group Pmn2_1 (No. 31)
One atom of each set of equivalent atoms:
Li1 0.000 0.165 0.000 x2
Fe1 0.233 0.639 0.961 x4
Si1 0.000 0.851 0.509 x2
O1 0.000 0.119 0.392 x2
O2 0.000 0.864 0.835 x2
O3 0.213 0.704 0.416 x4